No. 1
Structure and theoretical PXRD pattern of Sr6CoC2N7 (a DFT-relaxed cell (PBE, the Materials Project); Cu Kα).
Lines closer than 0.1° are merged.

Structural model:
```
Sr6CoC2N7
1.0
9.893 0.000 0.000
0.000 14.691 0.000
0.000 0.000 3.870
Sr Co C N
12 2 4 14
Cartesian
0.708 1.621 0.233
0.940 9.754 1.959
2.437 13.838 2.164
2.510 6.492 1.706
4.007 2.409 1.911
4.239 8.966 3.637
5.654 5.725 3.637
5.886 12.282 1.911
7.383 8.199 1.706
7.456 0.853 2.164
8.954 4.937 1.959
9.185 13.070 0.233
0.000 7.345 3.779
4.947 0.000 0.091
2.254 4.106 3.159
2.692 11.452 0.711
7.201 3.239 0.711
7.639 10.585 3.159
0.000 0.000 2.183
1.323 3.691 2.457
1.649 8.132 3.759
1.670 11.845 0.118
3.276 4.500 3.752
3.298 0.786 0.111
3.624 11.037 1.413
4.947 7.345 1.687
6.269 3.654 1.413
6.595 13.905 0.111
6.617 10.191 3.752
8.223 2.846 0.118
8.245 6.559 3.759
8.571 11.000 2.457
```

Principal peaks in the range 5° ≤ 2θ ≤ 70°, in order of rising 2θ:
two_theta, I (rel.)
12.0, 22
29.3, 23
29.7, 97
29.9, 38
30.8, 100
31.8, 69
34.9, 70
47.0, 34

No. 2
Structure and theoretical PXRD pattern of Ba4PrYCu6O14 (a DFT-relaxed cell (PBE, the Materials Project); Cu Kα).
Lines closer than 0.1° are merged.

Structural model:
```
Ba4PrYCu6O14
1.0
3.904 0.000 0.000
0.000 3.904 0.000
0.000 0.000 23.916
Ba Pr Y Cu O
4 1 1 6 14
Cartesian
0.000 0.000 3.800
0.000 0.000 8.126
0.000 0.000 15.790
0.000 0.000 20.116
0.000 0.000 11.958
0.000 0.000 0.000
1.952 1.952 1.748
1.952 1.952 5.966
1.952 1.952 10.096
1.952 1.952 13.820
1.952 1.952 17.950
1.952 1.952 22.168
0.000 1.952 1.426
0.000 1.952 5.956
0.000 1.952 10.421
0.000 1.952 13.532
0.000 1.952 22.455
1.952 0.000 1.461
1.952 0.000 10.384
1.952 0.000 13.495
1.952 0.000 17.960
1.952 0.000 22.490
1.952 1.952 4.088
1.952 1.952 7.842
1.952 1.952 16.074
1.952 1.952 19.828
```

Principal peaks in the range 5° ≤ 2θ ≤ 70°, in order of rising 2θ:
two_theta, I (rel.)
32.1, 100
32.4, 48
39.7, 13
45.5, 10
46.5, 29
57.0, 19
57.6, 37
67.1, 14

No. 3
Structure and theoretical PXRD pattern of Ba4Sm3Cl16 (a DFT-relaxed cell (PBE, the Materials Project); Cu Kα).
Lines closer than 0.1° are merged.

Structural model:
```
Ba4Sm3Cl16
1.0
6.704 3.871 8.337
-6.704 3.871 8.337
0.000 -7.741 8.337
Ba Sm Cl
8 6 32
Cartesian
-1.653 -2.542 10.259
0.000 0.000 5.850
-3.028 0.160 14.751
-1.375 2.703 10.259
1.375 -2.702 14.751
3.028 -0.160 10.259
0.000 0.000 19.159
1.653 2.542 14.751
-5.653 0.889 10.526
-3.597 -4.452 14.484
2.057 -5.340 10.526
-2.057 5.340 14.484
3.597 4.452 10.526
5.653 -0.889 14.484
-2.935 0.667 5.094
-1.921 -2.171 7.114
-5.325 -2.344 13.841
-3.927 1.460 8.315
0.890 -2.875 5.094
-0.633 -5.784 11.169
0.699 -4.131 8.315
-4.693 3.440 11.169
-2.994 0.316 11.523
-1.770 -2.435 13.486
-3.228 -2.670 16.694
-0.920 2.749 7.114
0.000 0.000 9.299
1.224 -2.751 11.523
2.045 2.208 5.094
2.841 -0.578 7.114
-2.841 0.578 17.896
-2.045 -2.208 19.915
-1.224 2.751 13.486
0.000 0.000 15.710
0.920 -2.749 17.896
3.228 2.670 8.315
1.770 2.435 11.523
2.994 -0.316 13.486
4.693 -3.440 13.841
-0.699 4.131 16.694
0.633 5.784 13.841
-0.890 2.875 19.915
3.927 -1.460 16.694
5.325 2.344 11.169
1.921 2.171 17.896
2.935 -0.667 19.915
```

Principal peaks in the range 5° ≤ 2θ ≤ 70°, in order of rising 2θ:
two_theta, I (rel.)
21.3, 36
21.5, 100
24.8, 33
35.2, 59
35.4, 53
41.6, 20
41.7, 56
50.8, 14

No. 4
Structure and theoretical PXRD pattern of TaMn2B4 (a DFT-relaxed cell (PBE, the Materials Project); Cu Kα).
Lines closer than 0.1° are merged.

Structural model:
```
TaMn2B4
1.0
3.043 0.000 0.000
0.000 3.159 0.000
0.000 0.000 12.908
Ta Mn B
2 4 8
Cartesian
0.000 0.000 0.000
1.521 1.580 6.454
0.000 1.580 4.031
0.000 1.580 8.876
1.521 0.000 2.423
1.521 0.000 10.485
0.000 0.000 5.515
0.000 0.000 7.392
0.000 1.580 1.894
0.000 1.580 11.013
1.521 0.000 4.560
1.521 0.000 8.348
1.521 1.580 0.938
1.521 1.580 11.969
```

Principal peaks in the range 5° ≤ 2θ ≤ 70°, in order of rising 2θ:
two_theta, I (rel.)
13.7, 62
27.6, 29
29.1, 78
30.2, 31
36.2, 81
43.6, 100
45.4, 52
50.3, 32

No. 5
Structure and theoretical PXRD pattern of PrCuSO (a DFT-relaxed cell (PBE, the Materials Project); Cu Kα).
Lines closer than 0.1° are merged.

Structural model:
```
PrCuSO
1.0
3.969 0.000 0.000
0.000 3.969 0.000
0.000 0.000 8.495
Pr Cu S O
2 2 2 2
Cartesian
0.992 0.992 1.250
2.977 2.977 7.246
0.992 2.977 4.248
2.977 0.992 4.248
0.992 0.992 5.631
2.977 2.977 2.864
0.992 2.977 0.000
2.977 0.992 0.000
```

Principal peaks in the range 5° ≤ 2θ ≤ 70°, in order of rising 2θ:
two_theta, I (rel.)
24.8, 44
30.8, 100
31.6, 19
33.6, 42
38.4, 39
45.7, 40
54.2, 35
56.2, 35